No. 1
Starting from the GGA-PBE geometry in Alexandria, the XRD peak list of Yb2Ga9Rh3 was computed for Cu Kα, 1.54184 Å.
Intensities are scaled so that the largest is 1000.

Most intense lines, 5 to 70 degrees two-theta, sorted by position:
2θ (°), I (rel.), hkl
30.12, 217, 3 1 2
36.61, 545, 0 2 3
36.75, 1000, 3 1 3
37.24, 289, 0 0 4
37.64, 192, 4 2 1
40.89, 147, 1 3 2
41.36, 841, 3 3 0
41.72, 408, 6 0 0
56.70, 160, 6 2 3
56.86, 155, 3 3 4

Crystal structure
Lattice parameters (Å, degrees): 12.9892 7.5829 9.6572 90.00 90.00 90.00
Space group Cmcm (No. 63)
Inequivalent atoms, fractional coordinates:
Yb1 0.1638 0.1654 0.2500 (multiplicity 8)
Ga1 0.0000 0.1281 0.7500 (multiplicity 4)
Ga2 0.0000 0.3341 0.0641 (multiplicity 8)
Ga3 0.1056 0.4432 0.7500 (multiplicity 8)
Ga4 0.1665 0.1690 0.5773 (multiplicity 16)
Rh1 0.0000 0.0000 0.0000 (multiplicity 4)
Rh2 0.1715 0.5000 0.0000 (multiplicity 8)



No. 2
Starting from the GGA-PBE geometry in Alexandria, the XRD peak list of CeNi12 was computed for Cu Kα, 1.54184 Å.
Intensities are scaled so that the largest is 1000.

Most intense lines, 5 to 70 degrees two-theta, sorted by position:
2θ (°), I (rel.), hkl
30.85, 180, 2 1 1
34.53, 74, 3 1 0
38.00, 290, 3 0 1
38.17, 111, 0 0 2
44.13, 1000, 4 0 0
44.30, 454, 2 0 2
49.66, 178, 4 2 0
49.82, 235, 2 2 2
64.15, 69, 4 4 0
64.29, 63, 4 2 2

Crystal structure
Lattice parameters (Å, degrees): 8.2138 8.2138 4.7151 90.00 90.00 90.00
Space group I4/mmm (No. 139)
Inequivalent atoms, fractional coordinates:
Ce1 0.0000 0.0000 0.0000 (multiplicity 2)
Ni1 0.0000 0.2245 0.5000 (multiplicity 8)
Ni2 0.0000 0.3536 0.0000 (multiplicity 8)
Ni3 0.2500 0.2500 0.2500 (multiplicity 8)



No. 3
Starting from the GGA-PBE geometry in Alexandria, the XRD peak list of La6NiPb2N was computed for Cu Kα, 1.54184 Å.
Intensities are scaled so that the largest is 1000.

Most intense lines, 5 to 70 degrees two-theta, sorted by position:
2θ (°), I (rel.), hkl
23.85, 59, 0 2 2
29.18, 1000, 2 2 2
33.51, 448, 4 0 0
34.44, 213, 0 0 4
48.11, 158, 4 4 0
48.81, 310, 4 0 4
57.21, 145, 2 6 2
57.32, 149, 6 2 2
58.50, 144, 2 2 6
60.51, 159, 4 4 4

Crystal structure
Lattice parameters (Å, degrees): 10.6861 10.7104 10.4151 90.00 90.00 90.00
Space group Fmm2 (No. 42)
Inequivalent atoms, fractional coordinates:
La1 0.0000 0.0000 0.0000 (multiplicity 4)
La2 0.0000 0.0000 0.4942 (multiplicity 4)
La3 0.0000 0.2360 0.2451 (multiplicity 8)
La4 0.2369 0.0000 0.2453 (multiplicity 8)
Ni1 0.0000 0.0000 0.7486 (multiplicity 4)
Pb1 0.2500 0.2500 0.4955 (multiplicity 8)
N1 0.0000 0.0000 0.2520 (multiplicity 4)



No. 4
Starting from the GGA-PBE geometry in Alexandria, the XRD peak list of Ho5N was computed for Cu Kα, 1.54184 Å.
Intensities are scaled so that the largest is 1000.

Most intense lines, 5 to 70 degrees two-theta, sorted by position:
2θ (°), I (rel.), hkl
10.02, 299, 0 2 0
28.98, 834, 0 0 2
31.21, 624, 1 3 0
33.77, 1000, 0 6 1
34.48, 949, 1 3 1
43.08, 299, 1 3 2
54.49, 427, 0 6 3
54.98, 250, 1 3 3
62.90, 217, 1 9 2
66.97, 280, 2 6 1

Crystal structure
Lattice parameters (Å, degrees): 3.2866 17.6487 6.1617 90.00 90.00 90.00
Space group Cmmm (No. 65)
Inequivalent atoms, fractional coordinates:
Ho1 0.0000 0.0000 0.0000 (multiplicity 2)
Ho2 0.0000 0.0920 0.5000 (multiplicity 4)
Ho3 0.0000 0.3330 0.0000 (multiplicity 4)
N1 0.0000 0.5000 0.5000 (multiplicity 2)



No. 5
Starting from the GGA-PBE geometry in Alexandria, the XRD peak list of Mn was computed for Cu Kα, 1.54184 Å.
Intensities are scaled so that the largest is 1000.

Most intense lines, 5 to 70 degrees two-theta, sorted by position:
2θ (°), I (rel.), hkl
35.95, 9, 2 2 2
38.95, 10, 3 2 1
41.76, 41, 4 0 0
44.42, 1000, 4 1 1
49.40, 231, 3 3 2
51.76, 87, 4 2 2
54.04, 139, 4 3 1
58.42, 9, 5 2 1
64.63, 10, 4 4 2
66.63, 10, 5 3 2

Crystal structure
Lattice parameters (Å, degrees): 8.6528 8.6528 8.6528 90.00 90.00 90.00
Space group I-43m (No. 217)
Inequivalent atoms, fractional coordinates:
Mn1 0.0000 0.0000 0.0000 (multiplicity 2)
Mn2 0.0334 0.3561 0.6439 (multiplicity 24)
Mn3 0.0889 0.0889 0.7163 (multiplicity 24)
Mn4 0.1844 0.1844 0.1844 (multiplicity 8)



No. 6
Starting from the GGA-PBE geometry in Alexandria, the XRD peak list of NaSr2Br5 was computed for Cu Kα, 1.54184 Å.
Intensities are scaled so that the largest is 1000.

Most intense lines, 5 to 70 degrees two-theta, sorted by position:
2θ (°), I (rel.), hkl
20.03, 232, 2 0 3
22.09, 396, 0 1 3
25.93, 552, 1 1 4
28.98, 204, 3 0 4
32.00, 301, 2 1 5
34.48, 369, 3 1 4
34.92, 1000, 2 1 6
36.99, 478, 0 2 0
37.83, 182, 3 0 7
65.34, 183, 2 3 6

Crystal structure
Lattice parameters (Å, degrees): 11.2716 4.8600 21.5315 90.00 90.00 90.00
Space group Pnma (No. 62)
Inequivalent atoms, fractional coordinates:
Na1 0.0731 0.2500 0.0690 (multiplicity 4)
Sr1 0.1383 0.2500 0.4323 (multiplicity 4)
Sr2 0.1860 0.2500 0.7476 (multiplicity 4)
Br1 0.0704 0.7500 0.3279 (multiplicity 4)
Br2 0.1189 0.7500 0.5179 (multiplicity 4)
Br3 0.1348 0.7500 0.0112 (multiplicity 4)
Br4 0.1360 0.7500 0.8368 (multiplicity 4)
Br5 0.2231 0.2500 0.1787 (multiplicity 4)



No. 7
Starting from the GGA-PBE geometry in Alexandria, the XRD peak list of CsSm4I12 was computed for Cu Kα, 1.54184 Å.
Intensities are scaled so that the largest is 1000.

Most intense lines, 5 to 70 degrees two-theta, sorted by position:
2θ (°), I (rel.), hkl
15.06, 766, 2 0 0
23.92, 1000, 3 0 1
28.39, 891, 3 1 2
30.39, 493, 4 0 0
34.08, 602, 4 2 0
37.45, 594, 4 2 2
44.93, 532, 5 3 0
47.65, 473, 5 2 3
55.21, 204, 7 0 1
67.57, 449, 8 2 2

Crystal structure
Lattice parameters (Å, degrees): 11.7641 11.7641 11.7641 90.00 90.00 90.00
Space group Im-3 (No. 204)
Inequivalent atoms, fractional coordinates:
Cs1 0.0000 0.0000 0.0000 (multiplicity 2)
Sm1 0.2500 0.2500 0.2500 (multiplicity 8)
I1 0.0000 0.3021 0.1832 (multiplicity 24)



No. 8
Starting from the GGA-PBE geometry in Alexandria, the XRD peak list of Gd3Mn2C6 was computed for Cu Kα, 1.54184 Å.
Intensities are scaled so that the largest is 1000.

Most intense lines, 5 to 70 degrees two-theta, sorted by position:
2θ (°), I (rel.), hkl
28.23, 1000, 1 1 1
31.04, 270, 2 0 1
33.87, 443, 1 2 0
35.39, 254, 0 0 2
38.36, 175, 2 1 1
38.57, 321, 3 0 0
42.06, 142, 1 1 2
49.80, 254, 2 1 2
59.24, 133, 1 1 3
60.45, 201, 2 3 1

Crystal structure
Lattice parameters (Å, degrees): 8.0852 8.0852 5.0725 90.00 90.00 120.00
Space group P6_3/m (No. 176)
Inequivalent atoms, fractional coordinates:
Gd1 0.0683 0.3797 0.2500 (multiplicity 6)
Mn1 0.0000 0.0000 0.0000 (multiplicity 2)
Mn2 0.3333 0.6667 0.7500 (multiplicity 2)
C1 0.0404 0.2245 0.7500 (multiplicity 6)
C2 0.1372 0.4202 0.7500 (multiplicity 6)